[1]
Calculated powder XRD pattern of Tm2Mg5In3Pb2 for Cu Kα, 1.54184 Å, from a PBE-relaxed structure.

Atomic structure:
```
data_Tm2Mg5In3Pb2
_chemical_formula_sum 'Tm4 Mg10 In6 Pb4'
_cell_length_a 4.372
_cell_length_b 4.372
_cell_length_c 32.947
_cell_angle_alpha 90.00
_cell_angle_beta 90.00
_cell_angle_gamma 90.00
_symmetry_space_group_name_H-M 'I 4/m m m'
_symmetry_Int_Tables_number 139
_symmetry_space_group_name_Hall '-I 4 2'
loop_
_atom_site_label
_atom_site_type_symbol
_atom_site_fract_x
_atom_site_fract_y
_atom_site_fract_z
Tm1 Tm 0.000 0.000 0.225
Mg1 Mg 0.000 0.000 0.000
Mg2 Mg 0.000 0.500 0.068
In1 In 0.000 0.000 0.322
In2 In 0.000 0.000 0.500
Pb1 Pb 0.000 0.000 0.132
```

Largest 12 diffraction maxima, by angle, 2θ from 5° to 70°:
d/Å	2θ/deg	I_rel
16.473	5.36	100
4.062	21.88	28
3.643	24.43	12
3.091	28.88	66
3.038	29.40	22
2.807	31.88	34
2.471	36.36	94
2.186	41.30	37
1.725	53.11	16
1.637	56.18	43
1.546	59.84	12
1.348	69.78	13

=====

[2]
Calculated powder XRD pattern of Nb2Pd5Ru for Cu Kα, 1.54184 Å, from a PBE-relaxed structure.

Atomic structure:
```
data_Nb2Pd5Ru
_chemical_formula_sum 'Nb4 Pd10 Ru2'
_cell_length_a 5.656
_cell_length_b 11.296
_cell_length_c 3.900
_cell_angle_alpha 90.00
_cell_angle_beta 90.00
_cell_angle_gamma 90.00
_symmetry_space_group_name_H-M 'P b a m'
_symmetry_Int_Tables_number 55
loop_
_symmetry_equiv_pos_as_xyz
'x,y,z'
'-x,-y,-z'
'-x,-y,z'
'x,y,-z'
'x+1/2,-y+1/2,-z'
'-x+1/2,y+1/2,z'
'-x+1/2,y+1/2,-z'
'x+1/2,-y+1/2,z'
loop_
_atom_site_label
_atom_site_type_symbol
_atom_site_fract_x
_atom_site_fract_y
_atom_site_fract_z
Nb1 Nb 0.225 0.117 0.000
Pd1 Pd 0.000 0.500 0.500
Pd2 Pd 0.020 0.749 0.500
Pd3 Pd 0.238 0.373 0.000
Ru1 Ru 0.000 0.000 0.500
```

Largest 10 diffraction maxima, by angle, 2θ from 5° to 70°:
d/Å	2θ/deg	I_rel
2.288	39.37	100
2.261	39.87	1
2.244	40.19	2
1.998	45.39	32
1.950	46.57	16
1.477	62.93	1
1.414	66.08	4
1.412	66.18	5
1.403	66.66	1
1.396	67.06	20